# 1
Starting from the GGA-PBE geometry in Alexandria, the powder diffraction line list of Tm2Th5 was computed for copper Kα.
Lines closer than 0.1° are merged.

Crystal structure
a = 11.2604 Å, b = 4.9855 Å, c = 7.9664 Å
α = 90.00°, β = 97.65°, γ = 90.00°
Space group C2/m (No. 12)
Inequivalent atoms, fractional coordinates:
Tm1 0.0705 0.0000 0.2148
Th1 0.0000 0.5000 0.5000
Th2 0.1433 0.5000 0.9311
Th3 0.2141 0.0000 0.6427

Top 8 peaks for 2θ = 10–90°, sorted by position:
- 2θ 30.78, I = 100, (1 1 2)
- 2θ 30.91, I = 99, (3 1 -1)
- 2θ 35.52, I = 34, (4 0 1)
- 2θ 35.73, I = 34, (2 0 -3)
- 2θ 36.03, I = 33, (0 2 0)
- 2θ 51.48, I = 37, (4 2 1)
- 2θ 61.04, I = 30, (7 1 0)
- 2θ 61.58, I = 29, (1 3 2)

=====

# 2
Starting from the GGA-PBE geometry in Alexandria, the powder diffraction line list of Pu2Mn5Ge3H2 was computed for copper Kα.
Lines closer than 0.1° are merged.

Crystal structure
a = 3.7726 Å, b = 3.7726 Å, c = 23.3779 Å
α = 90.00°, β = 90.00°, γ = 90.00°
Space group I4/mmm (No. 139)
Inequivalent atoms, fractional coordinates:
Pu1 0.0000 0.0000 0.2039
Mn1 0.0000 0.0000 0.5000
Mn2 0.0000 0.5000 0.0812
Ge1 0.0000 0.0000 0.0000
Ge2 0.0000 0.0000 0.3424
H1 0.0000 0.0000 0.4261

Top 8 peaks for 2θ = 10–90°, sorted by position:
- 2θ 30.45, I = 100, (1 0 5)
- 2θ 33.59, I = 54, (1 1 0)
- 2θ 34.49, I = 68, (1 1 2)
- 2θ 35.91, I = 86, (1 0 7)
- 2θ 41.00, I = 73, (1 1 6)
- 2θ 48.25, I = 66, (2 0 0)
- 2θ 58.14, I = 43, (2 1 5)
- 2θ 61.58, I = 37, (2 1 7)

=====

# 3
Starting from the GGA-PBE geometry in Alexandria, the powder diffraction line list of Sm7GaS5 was computed for copper Kα.
Lines closer than 0.1° are merged.

Crystal structure
a = 3.9998 Å, b = 23.9679 Å, c = 6.9301 Å
α = 90.00°, β = 106.69°, γ = 90.00°
Space group P2_1/m (No. 11)
Inequivalent atoms, fractional coordinates:
Sm1 0.0281 0.2500 0.0563
Sm2 0.1366 0.5361 0.2734
Sm3 0.3172 0.1757 0.6347
Sm4 0.4098 0.6099 0.8190
Ga1 0.3026 0.7500 0.6063
S1 0.0472 0.6414 0.0946
S2 0.2261 0.0710 0.4522
S3 0.5000 0.0000 0.0000

Top 8 peaks for 2θ = 10–90°, sorted by position:
- 2θ 27.64, I = 52, (1 4 0)
- 2θ 29.35, I = 100, (0 7 1)
- 2θ 29.86, I = 26, (1 5 0)
- 2θ 31.05, I = 91, (1 2 1)
- 2θ 32.18, I = 60, (1 3 1)
- 2θ 45.14, I = 47, (0 5 3)
- 2θ 45.35, I = 32, (2 0 -1)
- 2θ 54.94, I = 35, (2 7 -2)